No. 1
For Zr5Rh3, the PBE geometry in Alexandria gives the calculated X-ray diffraction stick pattern in this record (CuKα).
Intensities are scaled so that the largest is 100.

Crystal structure
a b c (Å): 8.0631 8.0631 5.5410
angles (deg): 90.00 90.00 120.00
Space group P6_3/mcm (No. 193)
Asymmetric unit:
Zr (0.0000, 0.2400, 0.2500)
Zr (0.3333, 0.6667, 0.0000)
Rh (0.0000, 0.3951, 0.7500)

Main lines, low angle first (15° ≤ 2θ ≤ 90°):
2θ (°)	I/Imax	index
32.31	20	0 0 2
33.97	28	2 1 0
37.75	100	2 1 1
38.68	40	3 0 0
39.47	67	1 1 2
49.88	14	3 1 1
56.45	14	2 2 2
61.25	23	2 1 3
67.60	13	0 0 4
76.37	17	5 0 2



No. 2
For RuS, the PBE geometry in Alexandria gives the calculated X-ray diffraction stick pattern in this record (CuKα).
Intensities are scaled so that the largest is 100.

Crystal structure
a b c (Å): 2.958 7.779 5.226
angles (deg): 90.00 90.00 90.00
Space group Cmc2_1 (No. 36)
Asymmetric unit:
Ru (0.000, 0.062, 0.000)
S (0.000, 0.349, 0.826)

Main lines, low angle first (15° ≤ 2θ ≤ 90°):
2θ (°)	I/Imax	index
22.86	63	0 2 0
28.61	78	0 2 1
32.38	77	1 1 0
34.32	44	0 0 2
36.77	60	1 1 1
41.64	42	0 2 2
47.90	100	1 1 2
49.92	77	1 3 1
50.04	49	0 4 1
72.83	27	1 3 3



No. 3
For RuS, the PBE geometry in Alexandria gives the calculated X-ray diffraction stick pattern in this record (CuKα).
Intensities are scaled so that the largest is 100.

Crystal structure
a b c (Å): 3.419 4.301 4.304
angles (deg): 90.00 90.00 90.00
Space group Pmn2_1 (No. 31)
Asymmetric unit:
Ru (0.000, 0.152, 0.000)
S (0.000, 0.673, 0.796)

Main lines, low angle first (15° ≤ 2θ ≤ 90°):
2θ (°)	I/Imax	index
20.65	19	0 1 0
29.36	56	0 1 1
33.48	100	1 0 1
39.66	24	1 1 1
42.00	14	0 0 2
47.25	38	0 2 1
50.12	28	1 2 0
54.74	39	1 1 2
74.21	19	2 2 1
75.17	15	1 3 1



No. 4
For Sb2RuS, the PBE geometry in Alexandria gives the calculated X-ray diffraction stick pattern in this record (CuKα).
Intensities are scaled so that the largest is 100.

Crystal structure
a b c (Å): 6.203 6.203 11.525
angles (deg): 90.00 90.00 90.00
Space group I-42d (No. 122)
Asymmetric unit:
Sb (0.217, 0.250, 0.125)
Ru (0.000, 0.000, 0.000)
S (0.000, 0.000, 0.500)

Main lines, low angle first (15° ≤ 2θ ≤ 90°):
2θ (°)	I/Imax	index
16.23	21	1 0 1
25.52	100	1 1 2
41.16	23	2 2 0
42.84	44	2 0 4
49.06	29	3 1 2
51.97	14	1 1 6
59.62	7	4 0 0
68.35	10	3 1 6
76.17	12	4 2 4
80.75	7	5 1 2



No. 5
For RuSeS, the PBE geometry in Alexandria gives the calculated X-ray diffraction stick pattern in this record (CuKα).
Intensities are scaled so that the largest is 100.

Crystal structure
a b c (Å): 3.700 4.762 5.850
angles (deg): 90.00 90.00 90.00
Space group Pmn2_1 (No. 31)
Asymmetric unit:
Ru (0.000, 0.235, 0.000)
Se (0.000, 0.456, 0.380)
S (0.000, 0.044, 0.627)

Main lines, low angle first (15° ≤ 2θ ≤ 90°):
2θ (°)	I/Imax	index
24.10	49	0 1 1
30.59	100	1 1 0
34.31	45	1 1 1
36.04	30	0 1 2
43.80	33	1 1 2
48.03	67	1 2 1
49.29	36	2 0 0
50.58	15	0 1 3
53.09	29	1 0 3
55.59	15	2 1 1



No. 6
For Ta2Ru2S, the PBE geometry in Alexandria gives the calculated X-ray diffraction stick pattern in this record (CuKα).
Intensities are scaled so that the largest is 100.

Crystal structure
a b c (Å): 7.454 7.454 3.039
angles (deg): 90.00 90.00 90.00
Space group P4/mbm (No. 127)
Asymmetric unit:
Ta (0.156, 0.344, 0.000)
Ru (0.137, 0.637, 0.500)
S (0.000, 0.000, 0.500)

Main lines, low angle first (15° ≤ 2θ ≤ 90°):
2θ (°)	I/Imax	index
16.82	32	1 1 0
26.74	11	2 1 0
38.18	42	3 1 0
40.15	100	2 1 1
48.87	15	4 0 0
52.05	14	3 3 0
59.49	11	4 1 1
60.95	11	0 0 2
74.26	10	3 1 2
75.47	22	5 2 1



No. 7
For TaRu2WS, the PBE geometry in Alexandria gives the calculated X-ray diffraction stick pattern in this record (CuKα).
Intensities are scaled so that the largest is 100.

Crystal structure
a b c (Å): 4.667 4.667 4.956
angles (deg): 90.00 90.00 90.00
Space group P4/mmm (No. 123)
Asymmetric unit:
Ta (0.000, 0.000, 0.000)
Ru (0.000, 0.500, 0.500)
W (0.000, 0.000, 0.500)
S (0.500, 0.500, 0.000)

Main lines, low angle first (15° ≤ 2θ ≤ 90°):
2θ (°)	I/Imax	index
19.01	100	1 0 0
32.60	29	1 1 1
36.25	34	0 0 2
38.58	58	2 0 0
41.25	29	1 0 2
43.35	25	2 1 0
53.97	44	2 0 2
55.70	21	2 2 0
57.75	22	2 1 2
68.29	21	2 2 2



No. 8
For Tb7RuS5, the PBE geometry in Alexandria gives the calculated X-ray diffraction stick pattern in this record (CuKα).
Intensities are scaled so that the largest is 100.

Crystal structure
a b c (Å): 3.869 23.707 6.752
angles (deg): 90.00 106.61 90.00
Space group P2_1 (No. 4)
Asymmetric unit:
Tb (0.038, 0.000, 0.076)
Tb (0.133, 0.716, 0.266)
Tb (0.145, 0.287, 0.291)
Tb (0.298, 0.930, 0.594)
Tb (0.309, 0.071, 0.616)
Tb (0.401, 0.634, 0.802)
Tb (0.417, 0.359, 0.835)
Ru (0.309, 0.508, 0.619)
S (0.046, 0.610, 0.094)
S (0.056, 0.392, 0.115)
S (0.219, 0.822, 0.436)
S (0.230, 0.180, 0.459)
S (0.492, 0.749, 0.984)

Main lines, low angle first (15° ≤ 2θ ≤ 90°):
2θ (°)	I/Imax	index
27.83	24	0 1 2
28.40	47	1 4 0
29.78	100	0 7 1
31.98	93	1 2 -2
33.11	55	1 3 1
33.25	27	0 8 1
42.08	30	1 9 -1
46.28	35	0 5 3
46.97	32	2 0 -1
56.61	33	2 7 0



No. 9
For TeRuS, the PBE geometry in Alexandria gives the calculated X-ray diffraction stick pattern in this record (CuKα).
Intensities are scaled so that the largest is 100.

Crystal structure
a b c (Å): 10.259 12.221 7.643
angles (deg): 90.00 90.00 90.00
Space group Fdd2 (No. 43)
Asymmetric unit:
Te (0.106, 0.426, 0.000)
Ru (0.013, 0.264, 0.496)
S (0.123, 0.436, 0.495)

Main lines, low angle first (15° ≤ 2θ ≤ 90°):
2θ (°)	I/Imax	index
16.18	58	1 1 1
22.63	57	2 2 0
26.27	29	1 3 1
29.15	86	2 0 2
32.69	100	2 2 2
34.16	58	2 4 0
36.26	33	3 3 1
45.08	91	4 2 2
47.59	38	0 0 4
50.79	49	0 6 2



No. 10
For Sb7Ru, the PBE geometry in Alexandria gives the calculated X-ray diffraction stick pattern in this record (CuKα).
Intensities are scaled so that the largest is 100.

Crystal structure
a b c (Å): 9.288 9.288 9.288
angles (deg): 90.00 90.00 90.00
Space group Fm-3m (No. 225)
Asymmetric unit:
Sb (0.000, 0.000, 0.000)
Sb (0.000, 0.250, 0.250)
Ru (0.000, 0.000, 0.500)

Main lines, low angle first (15° ≤ 2θ ≤ 90°):
2θ (°)	I/Imax	index
33.42	100	2 2 2
38.78	50	4 0 0
56.01	33	4 4 0
66.81	39	6 2 2
70.21	11	4 4 4
83.21	5	8 0 0



No. 11
For SbRu4, the PBE geometry in Alexandria gives the calculated X-ray diffraction stick pattern in this record (CuKα).
Intensities are scaled so that the largest is 100.

Crystal structure
a b c (Å): 6.208 6.208 3.917
angles (deg): 90.00 90.00 90.00
Space group I4/m (No. 87)
Asymmetric unit:
Sb (0.000, 0.000, 0.000)
Ru (0.100, 0.314, 0.500)

Main lines, low angle first (15° ≤ 2θ ≤ 90°):
2θ (°)	I/Imax	index
26.91	1	1 0 1
28.76	1	2 0 0
39.80	100	2 1 1
46.25	32	1 3 0
46.36	16	0 0 2
58.56	1	2 3 1
67.53	30	1 3 2
81.29	23	5 0 1
81.46	12	2 1 3
85.80	10	4 2 2



No. 12
For Sb7Ru6, the PBE geometry in Alexandria gives the calculated X-ray diffraction stick pattern in this record (CuKα).
Intensities are scaled so that the largest is 100.

Crystal structure
a b c (Å): 6.0215 6.0215 26.9889
angles (deg): 90.00 90.00 120.00
Space group R-3m (No. 166, hexagonal axes)
Asymmetric unit:
Sb (0.0000, 0.0000, 0.0000)
Sb (0.0087, 0.5044, 0.4256)
Ru (0.0000, 0.0000, 0.1632)
Ru (0.0000, 0.0000, 0.3152)
Ru (0.0000, 0.0000, 0.4542)

Main lines, low angle first (15° ≤ 2θ ≤ 90°):
2θ (°)	I/Imax	index
29.67	45	1 1 0
34.56	58	0 2 1
35.05	27	2 0 2
35.89	100	1 1 6
41.82	87	0 2 7
43.89	48	2 0 8
47.12	36	1 0 13
56.78	26	3 0 6
61.61	47	2 2 0
65.28	27	2 1 13